1.
The following is a simulated powder diffraction line list of MgCO6. It was derived from a crystal structure in the Materials Project, relaxed with PBE, using Cu Kα (λ = 1.5418 Å).

Atomic structure:
Lattice parameters (Å, degrees): 6.4581 5.3631 13.1867 90.00 118.39 90.00
Fractional positions:
Mg 0.1129 0.0972 0.3569
Mg 0.1129 0.4028 0.8569
Mg 0.8871 0.5972 0.1431
Mg 0.8871 0.9028 0.6431
C 0.1664 0.6376 0.4158
C 0.1664 0.8624 0.9158
C 0.8336 0.1376 0.0842
C 0.8336 0.3624 0.5842
O 0.0562 0.7137 0.3082
O 0.0562 0.7863 0.8082
O 0.1974 0.0869 0.9460
O 0.1974 0.4131 0.4460
O 0.2387 0.6709 0.9858
O 0.2387 0.8291 0.4858
O 0.2565 0.5785 0.1678
O 0.2565 0.9215 0.6678
O 0.4195 0.0832 0.3270
O 0.4195 0.4168 0.8270
O 0.4309 0.2098 0.1727
O 0.4309 0.2902 0.6727
O 0.5691 0.7098 0.3273
O 0.5691 0.7902 0.8273
O 0.5805 0.5832 0.1730
O 0.5805 0.9168 0.6730
O 0.7435 0.0785 0.3322
O 0.7435 0.4215 0.8322
O 0.7613 0.1709 0.5142
O 0.7613 0.3291 0.0142
O 0.8026 0.5869 0.5540
O 0.8026 0.9131 0.0540
O 0.9438 0.2137 0.1918
O 0.9438 0.2863 0.6918

Largest 6 diffraction maxima, in order of falling intensity, 2θ from 10° to 80°:
2theta	d/Å	I_rel
27.6	3.229	100
34.3	2.613	42
28.5	3.137	37
26.7	3.342	21
15.8	5.604	17
53.6	1.708	17

---

2.
The following is a simulated powder diffraction line list of K2GeSe3. It was derived from a crystal structure in the Materials Project, relaxed with PBE, using Cu Kα (λ = 1.5418 Å).

Atomic structure:
Lattice parameters (Å, degrees): 6.9449 7.6023 8.8144 75.92 73.20 66.76
Fractional positions:
K 0.1128 0.2006 0.1068
K 0.3457 0.5353 0.3220
K 0.6543 0.4647 0.6780
K 0.8872 0.7994 0.8932
Ge 0.3612 0.0583 0.6819
Ge 0.6388 0.9417 0.3181
Se 0.1659 0.3812 0.7166
Se 0.2744 0.9650 0.4652
Se 0.3669 0.8189 0.9059
Se 0.6331 0.1811 0.0941
Se 0.7256 0.0350 0.5348
Se 0.8341 0.6188 0.2834

Largest 6 diffraction maxima, in order of falling intensity, 2θ from 10° to 80°:
2theta	d/Å	I_rel
26.5	3.366	100
25.8	3.448	40
15.8	5.620	36
12.8	6.909	32
32.9	2.725	25
38.4	2.342	23

---

3.
The following is a simulated powder diffraction line list of WN2. It was derived from a crystal structure in the Materials Project, relaxed with PBE, using Cu Kα (λ = 1.5418 Å).

Atomic structure:
Lattice parameters (Å, degrees): 5.8686 5.8686 6.4636 90.00 90.00 120.00
Fractional positions:
W 0.0000 0.4981 0.1667
W 0.4981 0.0000 0.8333
W 0.5019 0.5019 0.5000
N 0.2083 0.7846 0.9974
N 0.2154 0.4238 0.3307
N 0.4238 0.2154 0.6693
N 0.5762 0.7917 0.6641
N 0.7846 0.2083 0.0026
N 0.7917 0.5762 0.3359

Largest 6 diffraction maxima, in order of falling intensity, 2θ from 10° to 80°:
2theta	d/Å	I_rel
22.3	3.995	100
32.8	2.727	26
35.3	2.541	26
33.5	2.672	23
17.4	5.082	21
41.6	2.172	21

---

4.
The following is a simulated powder diffraction line list of TiSiO4. It was derived from a crystal structure in the Materials Project, relaxed with PBE, using Cu Kα (λ = 1.5418 Å).

Atomic structure:
Lattice parameters (Å, degrees): 5.3722 5.3722 5.3722 107.84 107.84 112.79
Fractional positions:
Ti 0.3750 0.6250 0.7500
Ti 0.6250 0.3750 0.2500
Si 0.1250 0.8750 0.2500
Si 0.8750 0.1250 0.7500
O 0.1329 0.6913 0.4416
O 0.2503 0.3087 0.9416
O 0.3087 0.2503 0.4416
O 0.3087 0.8671 0.0584
O 0.6913 0.1329 0.9416
O 0.6913 0.7497 0.5584
O 0.7497 0.6913 0.0584
O 0.8671 0.3087 0.5584

Largest 6 diffraction maxima, in order of falling intensity, 2θ from 10° to 80°:
2theta	d/Å	I_rel
28.2	3.164	100
55.3	1.660	54
36.3	2.476	49
70.7	1.333	19
58.3	1.582	18
45.6	1.988	17

---

5.
The following is a simulated powder diffraction line list of BaClO. It was derived from a crystal structure in the Materials Project, relaxed with PBE, using Cu Kα (λ = 1.5418 Å).

Atomic structure:
Lattice parameters (Å, degrees): 7.6885 4.1953 9.4644 90.00 90.00 90.00
Fractional positions:
Ba 0.2231 0.2500 0.1191
Ba 0.2769 0.7500 0.6191
Ba 0.7231 0.2500 0.3809
Ba 0.7769 0.7500 0.8809
Cl 0.0446 0.7500 0.3361
Cl 0.4554 0.2500 0.8361
Cl 0.5446 0.7500 0.1639
Cl 0.9554 0.2500 0.6639
O 0.0975 0.7500 0.9665
O 0.4025 0.2500 0.4665
O 0.5975 0.7500 0.5335
O 0.9025 0.2500 0.0335

Largest 6 diffraction maxima, in order of falling intensity, 2θ from 10° to 80°:
2theta	d/Å	I_rel
22.1	4.030	100
26.0	3.432	82
33.0	2.715	64
23.2	3.840	49
37.5	2.396	36
40.0	2.254	33

---

6.
The following is a simulated powder diffraction line list of Ba2LaMgBiO6. It was derived from a crystal structure in the Materials Project, relaxed with PBE, using Cu Kα (λ = 1.5418 Å).

Atomic structure:
Lattice parameters (Å, degrees): 6.3386 6.3386 7.0589 118.90 118.90 58.71
Fractional positions:
Ba 0.0000 0.0000 0.0000
Ba 0.5747 0.5747 0.6869
La 0.3825 0.3825 0.0461
Mg 0.1414 0.1414 0.5410
Bi 0.8212 0.8212 0.4186
O 0.0600 0.5443 0.6700
O 0.1301 0.1301 0.8112
O 0.1873 0.7335 0.3218
O 0.5443 0.0600 0.6700
O 0.6105 0.6105 0.0908
O 0.7335 0.1873 0.3218

Largest 6 diffraction maxima, in order of falling intensity, 2θ from 10° to 80°:
2theta	d/Å	I_rel
28.2	3.167	100
28.7	3.107	51
30.0	2.980	45
26.3	3.386	44
38.7	2.327	35
25.4	3.511	30

---

7.
The following is a simulated powder diffraction line list of K10NbInAs6. It was derived from a crystal structure in the Materials Project, relaxed with PBE, using Cu Kα (λ = 1.5418 Å).

Atomic structure:
Lattice parameters (Å, degrees): 9.2783 8.4071 17.8129 90.00 120.02 90.00
Fractional positions:
K 0.9998 0.0765 0.3409
K 0.0000 0.4205 0.5000
K 0.0000 0.5795 0.0000
K 0.9998 0.9235 0.8409
K 0.1070 0.2717 0.1854
K 0.1070 0.7283 0.6854
K 0.2978 0.2385 0.0170
K 0.2978 0.7615 0.5170
K 0.3823 0.2711 0.4995
K 0.3823 0.7289 0.9995
K 0.5742 0.2447 0.3341
K 0.5742 0.7553 0.8341
K 0.6793 0.0803 0.0174
K 0.6793 0.9197 0.5174
K 0.6807 0.4236 0.1783
K 0.6807 0.5764 0.6783
K 0.7468 0.2620 0.8515
K 0.7468 0.7380 0.3515
K 0.9348 0.2477 0.6700
K 0.9348 0.7523 0.1700
Nb 0.3351 0.1234 0.6826
Nb 0.3351 0.8766 0.1826
In 0.3476 0.3845 0.8421
In 0.3476 0.6155 0.3421
As 0.0667 0.5000 0.3370
As 0.0667 0.5000 0.8370
As 0.0709 0.0361 0.5487
As 0.0709 0.9639 0.0487
As 0.3266 0.0507 0.8200
As 0.3266 0.9493 0.3200
As 0.3538 0.4269 0.6868
As 0.3538 0.5731 0.1868
As 0.5862 0.0052 0.6814
As 0.5862 0.9948 0.1814
As 0.6427 0.4695 0.9845
As 0.6427 0.5305 0.4845

Largest 6 diffraction maxima, in order of falling intensity, 2θ from 10° to 80°:
2theta	d/Å	I_rel
33.4	2.681	100
29.2	3.057	74
11.0	8.034	74
34.9	2.571	64
27.7	3.220	53
28.9	3.085	49